Structure and calculated powder XRD pattern of Bi2OsAu (a DFT-relaxed cell (GGA-PBE, the Materials Project); CuKα).

Peak list (3 most intense, 2θ = 5–70°, most intense first)
Position (°2θ), Rel. int.
35.97, 100
64.65, 38
51.78, 18

Structure:
abc: 7.0627 7.0627 7.0627
angles: 90.00 90.00 90.00
Space group Fm-3m (No. 225)
One atom of each set of equivalent atoms:
Bi1 0.2500 0.2500 0.2500
Os1 0.0000 0.0000 0.0000
Au1 0.0000 0.0000 0.5000